(1)
GaCu4Te5: computed PXRD pattern (Cu Kα), based on a cell relaxed with PBE.
Neutral-atom scattering factors, no anomalous dispersion.

Crystal structure
```
10
Lattice="2.106 1.216 17.335 -2.106 1.216 17.335 0.000 -2.432 17.335" Properties=species:S:1:pos:R:3 pbc="T T T"
Ga 0.000 0.000 0.000
Cu 0.000 0.000 10.625
Cu 0.000 0.000 21.210
Cu 0.000 0.000 31.322
Cu 0.000 0.000 41.895
Te 0.000 0.000 8.064
Te 0.000 0.000 18.576
Te 0.000 0.000 28.762
Te 0.000 0.000 39.342
Te 0.000 0.000 49.389
```

Top 10 peaks for 2θ = 10–80°, by angle:
2θ = 25.70°, rel. 31; 2θ = 25.88°, rel. 100; 2θ = 42.70°, rel. 42; 2θ = 42.94°, rel. 47; 2θ = 50.51°, rel. 14; 2θ = 50.71°, rel. 28; 2θ = 50.82°, rel. 15; 2θ = 62.16°, rel. 13; 2θ = 68.66°, rel. 12; 2θ = 78.52°, rel. 13

---

(2)
V4PN: computed PXRD pattern (Cu Kα), based on a cell relaxed with PBE.
Neutral-atom scattering factors, no anomalous dispersion.

Crystal structure
```
12
Lattice="-3.442 3.442 3.346 3.442 -3.442 3.346 3.442 3.442 -3.346" Properties=species:S:1:pos:R:3 pbc="T T T"
V 0.000 1.248 0.000
V 1.986 0.000 1.254
V 4.897 0.000 1.254
V 3.442 1.986 -0.419
V 0.000 1.456 2.927
V -1.248 3.442 1.673
V 1.248 3.442 1.673
V 0.000 5.635 0.000
P 3.442 0.000 3.047
P 0.000 0.000 4.720
N 0.000 0.000 1.575
N 0.000 3.442 3.248
```

Top 10 peaks for 2θ = 10–80°, by angle:
2θ = 25.89°, rel. 25; 2θ = 36.94°, rel. 24; 2θ = 37.49°, rel. 100; 2θ = 41.48°, rel. 36; 2θ = 42.61°, rel. 9; 2θ = 49.99°, rel. 23; 2θ = 50.53°, rel. 12; 2θ = 53.23°, rel. 16; 2θ = 63.75°, rel. 25; 2θ = 66.92°, rel. 10